Entry 1:
Starting from DFT lattice parameters and positions (PBE), the powder diffractogram of Ba2Sb was computed for a wavelength of 1.5418 Å.
Lines closer than 0.1° are merged.

Principal peaks in the range 2θ = 5–70°, by angle:
d = 3.747 Å, rel. 17; d = 3.486 Å, rel. 100; d = 3.174 Å, rel. 31; d = 3.093 Å, rel. 39; d = 2.944 Å, rel. 92; d = 2.649 Å, rel. 68; d = 2.034 Å, rel. 34; d = 2.011 Å, rel. 31; d = 1.873 Å, rel. 24; d = 1.650 Å, rel. 23; d = 1.613 Å, rel. 16; d = 1.580 Å, rel. 34

```
Ba2Sb
1.0
-2.649 2.649 9.521
2.649 -2.649 9.521
2.649 2.649 -9.521
Ba Sb
4 2
Cartesian
2.649 0.000 0.000
0.000 0.000 3.431
0.000 2.649 0.000
0.000 0.000 15.612
0.000 0.000 6.976
0.000 0.000 12.067
```

***

Entry 2:
Starting from DFT lattice parameters and positions (PBE), the powder diffractogram of LaNd3 was computed for a wavelength of 1.5418 Å.
Lines closer than 0.1° are merged.

Principal peaks in the range 2θ = 5–70°, by angle:
d = 3.223 Å, rel. 23; d = 3.009 Å, rel. 26; d = 2.841 Å, rel. 100; d = 2.200 Å, rel. 16; d = 1.861 Å, rel. 19; d = 1.703 Å, rel. 22; d = 1.612 Å, rel. 3; d = 1.583 Å, rel. 23; d = 1.557 Å, rel. 16; d = 1.505 Å, rel. 3; d = 1.421 Å, rel. 4; d = 1.363 Å, rel. 3

```
LaNd3
1.0
7.444 0.000 0.000
-3.722 6.446 0.000
0.000 0.000 6.018
La Nd
2 6
Cartesian
0.000 4.298 1.505
3.722 2.149 4.514
0.000 2.140 4.514
-1.869 5.376 4.514
1.853 1.070 1.505
1.869 5.376 4.514
5.590 1.070 1.505
3.722 4.307 1.505
```

***

Entry 3:
Starting from DFT lattice parameters and positions (PBE), the powder diffractogram of CaEr2Te4 was computed for a wavelength of 1.5418 Å.
Lines closer than 0.1° are merged.

Principal peaks in the range 2θ = 5–70°, by angle:
d = 7.399 Å, rel. 50; d = 3.740 Å, rel. 14; d = 3.143 Å, rel. 100; d = 3.074 Å, rel. 47; d = 2.443 Å, rel. 10; d = 2.249 Å, rel. 19; d = 2.228 Å, rel. 38; d = 2.197 Å, rel. 19; d = 2.168 Å, rel. 35; d = 1.850 Å, rel. 10; d = 1.787 Å, rel. 22; d = 1.571 Å, rel. 12

```
CaEr2Te4
1.0
7.479 0.000 0.000
0.000 4.393 0.000
-2.351 0.000 7.399
Ca Er Te
1 2 4
Cartesian
0.000 0.000 0.000
-1.176 2.197 3.700
2.564 0.000 3.700
0.102 0.000 5.445
1.343 2.197 1.901
3.784 2.197 5.498
5.025 0.000 1.954
```

***

Entry 4:
Starting from DFT lattice parameters and positions (PBE), the powder diffractogram of DyPO4 was computed for a wavelength of 1.5418 Å.
Lines closer than 0.1° are merged.

Principal peaks in the range 2θ = 5–70°, by angle:
d = 4.572 Å, rel. 59; d = 3.482 Å, rel. 100; d = 2.770 Å, rel. 26; d = 2.581 Å, rel. 66; d = 2.462 Å, rel. 21; d = 2.168 Å, rel. 21; d = 1.940 Å, rel. 14; d = 1.841 Å, rel. 21; d = 1.782 Å, rel. 54; d = 1.741 Å, rel. 14; d = 1.557 Å, rel. 12; d = 1.443 Å, rel. 16

```
DyPO4
1.0
-3.482 3.482 3.031
3.482 -3.482 3.031
3.482 3.482 -3.031
Dy P O
2 2 8
Cartesian
3.482 1.741 0.758
0.000 1.741 2.273
3.482 -1.741 2.273
0.000 5.224 0.758
3.482 -0.527 1.302
3.482 2.956 -1.302
1.214 1.741 0.213
2.268 -1.741 3.244
1.214 5.224 -0.213
2.268 1.741 2.817
0.000 0.527 4.333
0.000 4.009 1.729
```

***

Entry 5:
Starting from DFT lattice parameters and positions (PBE), the powder diffractogram of MgSi2 was computed for a wavelength of 1.5418 Å.
Lines closer than 0.1° are merged.

Principal peaks in the range 2θ = 5–70°, by angle:
d = 5.558 Å, rel. 1; d = 4.432 Å, rel. 2; d = 2.358 Å, rel. 100; d = 2.309 Å, rel. 95; d = 2.131 Å, rel. 37; d = 1.987 Å, rel. 29; d = 1.956 Å, rel. 28; d = 1.615 Å, rel. 1; d = 1.477 Å, rel. 11; d = 1.441 Å, rel. 20; d = 1.430 Å, rel. 10; d = 1.394 Å, rel. 18

```
MgSi2
1.0
4.572 -1.956 0.000
4.572 1.956 0.000
-1.408 0.000 5.558
Mg Si
2 4
Cartesian
1.048 0.000 1.800
6.688 0.000 3.759
0.245 0.000 4.637
4.572 0.000 0.000
3.868 0.000 2.779
7.492 0.000 0.922
```

***

Entry 6:
Starting from DFT lattice parameters and positions (PBE), the powder diffractogram of KMg14SiO16 was computed for a wavelength of 1.5418 Å.
Lines closer than 0.1° are merged.

Principal peaks in the range 2θ = 5–70°, by angle:
d = 6.076 Å, rel. 1; d = 4.297 Å, rel. 1; d = 3.078 Å, rel. 1; d = 2.864 Å, rel. 1; d = 2.502 Å, rel. 20; d = 2.402 Å, rel. 1; d = 2.383 Å, rel. 1; d = 2.206 Å, rel. 57; d = 2.148 Å, rel. 100; d = 2.097 Å, rel. 2; d = 1.539 Å, rel. 59; d = 1.519 Å, rel. 27

```
KMg14SiO16
1.0
8.593 0.000 0.000
0.000 8.593 0.000
0.000 0.000 4.412
K Mg Si O
1 14 1 16
Cartesian
0.000 0.000 0.000
0.000 2.144 2.206
0.000 4.297 0.000
0.000 6.449 2.206
2.127 2.127 0.000
2.127 6.466 0.000
2.131 4.297 2.206
2.144 0.000 2.206
4.297 0.000 0.000
4.297 2.131 2.206
4.297 6.462 2.206
6.449 0.000 2.206
6.462 4.297 2.206
6.466 2.127 0.000
6.466 6.466 0.000
4.297 4.297 0.000
0.000 0.000 2.206
0.000 2.377 0.000
0.000 4.297 2.206
0.000 6.216 0.000
2.162 2.162 2.206
2.162 6.432 2.206
2.330 4.297 0.000
2.377 0.000 0.000
4.297 0.000 2.206
4.297 2.330 0.000
4.297 4.297 2.206
4.297 6.263 0.000
6.216 0.000 0.000
6.263 4.297 0.000
6.432 2.162 2.206
6.432 6.432 2.206
```

***

Entry 7:
Starting from DFT lattice parameters and positions (PBE), the powder diffractogram of LuAl3 was computed for a wavelength of 1.5418 Å.
Lines closer than 0.1° are merged.

Principal peaks in the range 2θ = 5–70°, by angle:
d = 4.204 Å, rel. 100; d = 2.973 Å, rel. 85; d = 2.427 Å, rel. 99; d = 2.102 Å, rel. 49; d = 1.880 Å, rel. 47; d = 1.716 Å, rel. 35; d = 1.486 Å, rel. 32; d = 1.401 Å, rel. 23

```
LuAl3
1.0
4.204 0.000 0.000
0.000 4.204 0.000
0.000 0.000 4.204
Lu Al
1 3
Cartesian
0.000 0.000 0.000
0.000 2.102 2.102
2.102 0.000 2.102
2.102 2.102 0.000
```

***

Entry 8:
Starting from DFT lattice parameters and positions (PBE), the powder diffractogram of TbTlSe2 was computed for a wavelength of 1.5418 Å.
Lines closer than 0.1° are merged.

Principal peaks in the range 2θ = 5–70°, by angle:
d = 3.890 Å, rel. 11; d = 3.476 Å, rel. 21; d = 3.089 Å, rel. 100; d = 2.277 Å, rel. 38; d = 2.102 Å, rel. 36; d = 1.965 Å, rel. 8; d = 1.945 Å, rel. 6; d = 1.849 Å, rel. 9; d = 1.738 Å, rel. 19; d = 1.544 Å, rel. 11; d = 1.516 Å, rel. 5; d = 1.428 Å, rel. 14

```
TbTlSe2
1.0
2.102 1.214 7.781
-2.102 1.214 7.781
0.000 -2.427 7.781
Tb Tl Se
1 1 2
Cartesian
0.000 0.000 0.000
0.000 0.000 11.671
0.000 0.000 6.189
0.000 0.000 17.152
```